For MgV4W2O12, the GGA+U geometry in the Materials Project gives the simulated powder XRD pattern in this record (Cu Kα (weighted mean of Kα1 and Kα2)).
Peak positions follow from Bragg's law for the DFT cell and can differ from measured ones.

Cell and atoms:
a = 4.8760 Å, b = 4.8760 Å, c = 9.0789 Å
α = 90.00°, β = 90.00°, γ = 90.00°
Fractional positions:
1 Mg 0.0000 0.0000 0.0000
2 V 0.0000 0.5000 0.0959
3 V 0.0000 0.5000 0.4159
4 V 0.5000 0.0000 0.5841
5 V 0.5000 0.0000 0.9041
6 W 0.0000 0.5000 0.7399
7 W 0.5000 0.0000 0.2601
8 O 0.1909 0.6958 0.9148
9 O 0.2024 0.7048 0.2488
10 O 0.2035 0.7030 0.5898
11 O 0.2952 0.2024 0.7512
12 O 0.2970 0.2035 0.4102
13 O 0.3042 0.1909 0.0852
14 O 0.6958 0.8091 0.0852
15 O 0.7030 0.7965 0.4102
16 O 0.7048 0.7976 0.7512
17 O 0.7965 0.2970 0.5898
18 O 0.7976 0.2952 0.2488
19 O 0.8091 0.3042 0.9148

Main lines, by intensity (2θ = 5–70°):
| 2θ (°) | I_rel | index |
| --- | --- | --- |
| 25.84 | 100.0 | 1 1 0 |
| 34.89 | 70.7 | 1 0 3 |
| 20.68 | 69.1 | 1 0 1 |
| 51.67 | 66.3 | 2 1 3 |
| 32.61 | 30.9 | 1 1 2 |
| 36.87 | 23.0 | 2 0 0 |